[1]
Dy6ErIn4: theoretical XRD peak list (copper Kα), based on a cell relaxed with GGA-PBE.

Most intense lines, 15° ≤ 2θ ≤ 90°, in order of rising 2θ:
Position (°2θ)	I (rel.)	h k l
26.99	422	2 1 1
27.71	648	2 0 2
32.90	333	2 2 0
34.72	1000	1 1 4
35.81	317	3 0 1
36.92	208	3 1 0
45.45	249	2 2 4
49.44	171	4 1 1
54.45	251	4 1 3
62.55	169	4 2 4

Crystal structure
a = 7.699 Å, b = 7.699 Å, c = 11.737 Å
α = 90.00°, β = 90.00°, γ = 90.00°
Space group I-42m (No. 121)
Symmetry-distinct sites (fractional):
Dy1 0.000 0.500 0.000 (multiplicity 4)
Dy2 0.188 0.188 0.285 (multiplicity 8)
Er1 0.000 0.000 0.000 (multiplicity 2)
In1 0.168 0.168 0.568 (multiplicity 8)

[2]
Pa3SbC2: theoretical XRD peak list (copper Kα), based on a cell relaxed with GGA-PBE.

Most intense lines, 15° ≤ 2θ ≤ 90°, in order of rising 2θ:
Position (°2θ)	I (rel.)	h k l
27.49	671	1 1 0
28.44	596	2 0 -1
28.91	1000	1 1 1
31.57	458	2 0 -2
31.82	435	1 1 -2
32.44	573	1 1 2
32.81	789	2 0 2
33.00	653	0 0 4
34.43	491	0 1 3
37.36	397	2 1 -1

Crystal structure
a = 6.479 Å, b = 3.751 Å, c = 10.869 Å
α = 90.00°, β = 92.45°, γ = 90.00°
Space group P2_1/m (No. 11)
Symmetry-distinct sites (fractional):
Pa1 0.090 0.250 0.163 (multiplicity 2)
Pa2 0.194 0.250 0.595 (multiplicity 2)
Pa3 0.397 0.250 0.866 (multiplicity 2)
Sb1 0.297 0.750 0.369 (multiplicity 2)
C1 0.211 0.750 0.734 (multiplicity 2)
C2 0.393 0.250 0.078 (multiplicity 2)